# SrAlO2F4
Theoretical X-ray powder pattern, Cu Kα. Input: a cell relaxed with GGA-PBE.
Neutral-atom scattering factors, no anomalous dispersion.

Top 10 peaks for 2θ = 5–70°, most intense first:
2theta  Rel. int.  index
19.27  100  1 1 0
17.39  89  1 0 0
23.28  80  1 0 -2
26.76  70  0 3 1
26.38  62  0 2 2
36.95  53  2 1 -2
23.90  36  1 1 1
30.55  36  1 3 -1
42.88  35  2 2 1
40.02  32  0 3 3

Structure:
a = 5.2782 Å, b = 10.8317 Å, c = 8.9531 Å
α = 90.00°, β = 105.00°, γ = 90.00°
Element x y z (fractional)
Sr 0.1273 0.1926 0.0464
Sr 0.1273 0.3074 0.5464
Sr 0.8727 0.6926 0.4536
Sr 0.8727 0.8074 0.9536
Al 0.2011 0.5275 0.2056
Al 0.2011 0.9725 0.7056
Al 0.7989 0.0275 0.2944
Al 0.7989 0.4725 0.7944
O 0.1100 0.5279 0.9792
O 0.1100 0.9721 0.4792
O 0.3982 0.7130 0.5146
O 0.3982 0.7870 0.0146
O 0.6018 0.2130 0.9854
O 0.6018 0.2870 0.4854
O 0.8900 0.0279 0.5208
O 0.8900 0.4721 0.0208
F 0.0232 0.6732 0.1937
F 0.0232 0.8268 0.6937
F 0.0911 0.0097 0.8704
F 0.0911 0.4903 0.3704
F 0.3185 0.1243 0.6943
F 0.3185 0.3757 0.1943
F 0.4947 0.0972 0.2325
F 0.4947 0.4028 0.7325
F 0.5053 0.5972 0.2675
F 0.5053 0.9028 0.7675
F 0.6815 0.6243 0.8057
F 0.6815 0.8757 0.3057
F 0.9089 0.5097 0.6296
F 0.9089 0.9903 0.1296
F 0.9768 0.1732 0.3063
F 0.9768 0.3268 0.8063